[1]
# Ba3Ge2B6O16
Calculated XRD peak list, CuKα. Input: the PBE geometry in the Materials Project.
Peak positions follow from Bragg's law for the DFT cell and can differ from measured ones.

Principal peaks in the range 2θ from 5° to 70°, low angle first:
| two_theta | I/Imax |
| --- | --- |
| 17.58 | 25 |
| 18.50 | 42 |
| 23.72 | 44 |
| 26.66 | 100 |
| 28.48 | 74 |
| 29.23 | 48 |
| 29.36 | 52 |
| 31.10 | 65 |
| 34.89 | 37 |
| 39.66 | 27 |

Crystal structure
Lattice parameters (Å, degrees): 5.1663 7.7235 8.7220 77.40 77.38 88.17
Atoms (fractional coordinates):
Ba: 0.0000 0.0000 0.0000
Ba: 0.1180 0.5795 0.7401
Ba: 0.8820 0.4205 0.2599
Ge: 0.2699 0.1705 0.5584
Ge: 0.7301 0.8295 0.4416
B: 0.3101 0.7561 0.2950
B: 0.4624 0.3038 0.9729
B: 0.4704 0.0912 0.2472
B: 0.5296 0.9088 0.7528
B: 0.5376 0.6962 0.0271
B: 0.6899 0.2439 0.7050
O: 0.0201 0.7158 0.3745
O: 0.1970 0.3223 0.9941
O: 0.2697 0.1775 0.3555
O: 0.2896 0.9560 0.6786
O: 0.3650 0.9394 0.2050
O: 0.3685 0.6349 0.1799
O: 0.4134 0.7752 0.9017
O: 0.4627 0.7015 0.4249
O: 0.5373 0.2985 0.5751
O: 0.5866 0.2248 0.0983
O: 0.6315 0.3651 0.8201
O: 0.6350 0.0606 0.7950
O: 0.7104 0.0440 0.3214
O: 0.7303 0.8225 0.6445
O: 0.8030 0.6777 0.0059
O: 0.9799 0.2842 0.6255

=====

[2]
# UFe2Si2
Calculated XRD peak list, CuKα. Input: the PBE geometry in the Materials Project.
Peak positions follow from Bragg's law for the DFT cell and can differ from measured ones.

Principal peaks in the range 2θ from 5° to 70°, low angle first:
| two_theta | I/Imax |
| --- | --- |
| 24.45 | 87 |
| 31.97 | 18 |
| 36.91 | 66 |
| 37.54 | 100 |
| 45.84 | 39 |
| 52.63 | 24 |
| 54.67 | 20 |
| 60.25 | 33 |
| 61.63 | 17 |
| 69.50 | 18 |

Crystal structure
Lattice parameters (Å, degrees): 5.4141 5.4141 5.4141 137.11 137.11 62.27
Atoms (fractional coordinates):
U: 0.0000 0.0000 0.0000
Fe: 0.2500 0.7500 0.5000
Fe: 0.7500 0.2500 0.5000
Si: 0.3702 0.3702 0.0000
Si: 0.6298 0.6298 0.0000

=====

[3]
# Na2Se
Calculated XRD peak list, CuKα. Input: the PBE geometry in the Materials Project.
Peak positions follow from Bragg's law for the DFT cell and can differ from measured ones.

Principal peaks in the range 2θ from 5° to 70°, low angle first:
| two_theta | I/Imax |
| --- | --- |
| 22.47 | 96 |
| 26.00 | 7 |
| 37.10 | 100 |
| 43.81 | 47 |
| 45.87 | 2 |
| 53.48 | 17 |
| 58.72 | 20 |
| 60.40 | 3 |
| 66.88 | 33 |

Crystal structure
Lattice parameters (Å, degrees): 4.8462 4.8462 4.8462 60.00 60.00 60.00
Atoms (fractional coordinates):
Na: 0.2500 0.2500 0.2500
Na: 0.7500 0.7500 0.7500
Se: 0.0000 0.0000 0.0000

=====

[4]
# Ta2Ni3S8
Calculated XRD peak list, CuKα. Input: the PBE geometry in the Materials Project.
Peak positions follow from Bragg's law for the DFT cell and can differ from measured ones.

Principal peaks in the range 2θ from 5° to 70°, low angle first:
| two_theta | I/Imax |
| --- | --- |
| 10.69 | 31 |
| 15.20 | 100 |
| 17.43 | 17 |
| 25.69 | 13 |
| 30.81 | 25 |
| 32.02 | 17 |
| 32.65 | 11 |
| 36.89 | 27 |
| 38.32 | 14 |
| 47.88 | 18 |

Crystal structure
Lattice parameters (Å, degrees): 10.1730 14.2200 3.3463 90.00 90.00 90.00
Atoms (fractional coordinates):
Ta: 0.2014 0.1191 0.0000
Ta: 0.2986 0.6191 0.0000
Ta: 0.7014 0.3809 0.0000
Ta: 0.7986 0.8809 0.0000
Ni: 0.0000 0.0000 0.5000
Ni: 0.1304 0.7252 0.5000
Ni: 0.3696 0.2252 0.5000
Ni: 0.5000 0.5000 0.5000
Ni: 0.6304 0.7748 0.5000
Ni: 0.8696 0.2748 0.5000
S: 0.0273 0.1550 0.5000
S: 0.0599 0.6321 0.0000
S: 0.2179 0.9922 0.5000
S: 0.2483 0.2854 0.0000
S: 0.2517 0.7854 0.0000
S: 0.2821 0.4922 0.5000
S: 0.4401 0.1321 0.0000
S: 0.4727 0.6550 0.5000
S: 0.5273 0.3450 0.5000
S: 0.5599 0.8679 0.0000
S: 0.7179 0.5078 0.5000
S: 0.7483 0.2146 0.0000
S: 0.7517 0.7146 0.0000
S: 0.7821 0.0078 0.5000
S: 0.9401 0.3679 0.0000
S: 0.9727 0.8450 0.5000

=====

[5]
# LaInRh
Calculated XRD peak list, CuKα. Input: the PBE geometry in the Materials Project.
Peak positions follow from Bragg's law for the DFT cell and can differ from measured ones.

Principal peaks in the range 2θ from 5° to 70°, low angle first:
| two_theta | I/Imax |
| --- | --- |
| 31.72 | 95 |
| 34.51 | 100 |
| 35.58 | 55 |
| 40.54 | 29 |
| 41.93 | 28 |
| 43.72 | 28 |
| 54.27 | 18 |
| 57.59 | 27 |
| 61.14 | 17 |
| 64.92 | 30 |

Crystal structure
Lattice parameters (Å, degrees): 7.7087 7.7087 4.1410 90.00 90.00 120.00
Atoms (fractional coordinates):
La: 0.0000 0.5859 0.0000
La: 0.4141 0.4141 0.0000
La: 0.5859 0.0000 0.0000
In: 0.0000 0.2459 0.5000
In: 0.2459 0.0000 0.5000
In: 0.7541 0.7541 0.5000
Rh: 0.0000 0.0000 0.0000
Rh: 0.3333 0.6667 0.5000
Rh: 0.6667 0.3333 0.5000